Diffraction record for Pr4Ga2Sb. The X-ray powder pattern is computed, not measured: it uses DFT lattice parameters and positions (GGA-PBE) and λ = 1.5418 Å (Cu Kα).
Intensities are scaled so that the largest is 100.

Atomic structure:
Lattice parameters (Å, degrees): 8.152 8.152 8.152 109.42 109.42 109.58
Atoms (fractional coordinates):
Pr (0.130, 0.736, 0.746)
Pr (0.134, 0.240, 0.754)
Pr (0.264, 0.010, 0.395)
Pr (0.486, 0.380, 0.246)
Pr (0.616, 0.870, 0.605)
Pr (0.620, 0.866, 0.105)
Pr (0.760, 0.514, 0.895)
Pr (0.990, 0.384, 0.254)
Ga (0.248, 0.625, 0.123)
Ga (0.375, 0.498, 0.623)
Ga (0.502, 0.125, 0.877)
Ga (0.875, 0.752, 0.377)
Sb (0.000, 0.000, 0.000)
Sb (0.750, 0.250, 0.500)

Peak list (12 most intense, 10 to 80 degrees two-theta, sorted by position)
2theta	intensity
23.1	8
26.8	9
30.0	100
35.7	67
43.0	7
45.2	8
47.3	19
49.4	27
60.6	20
62.4	9
64.1	15
74.0	11